(1)
Diffraction record for La5Sm5Tl2. The powder X-ray diffraction pattern is calculated, not measured: it uses a structure optimized by DFT (GGA-PBE) and λ = 1.5418 Å (Cu Kα).
Neutral-atom scattering factors, no anomalous dispersion.

Top 10 peaks for 2θ = 10–90°, low angle first:
- 3.219 Å, rel. 68
- 3.083 Å, rel. 31
- 3.029 Å, rel. 19
- 2.871 Å, rel. 100
- 2.785 Å, rel. 43
- 2.745 Å, rel. 69
- 2.679 Å, rel. 49
- 2.584 Å, rel. 60
- 1.881 Å, rel. 21
- 1.608 Å, rel. 20

Structure:
```
La5Sm5Tl2
1.0
5.762 -2.745 0.000
5.762 2.745 0.000
-0.609 0.000 12.904
La Sm Tl
5 5 2
direct
0.000 0.000 0.000
0.345 0.345 0.491
0.417 0.417 0.189
0.583 0.583 0.811
0.655 0.655 0.509
0.000 0.000 0.500
0.125 0.125 0.264
0.300 0.300 0.924
0.700 0.700 0.076
0.875 0.875 0.736
0.184 0.184 0.696
0.816 0.816 0.304
```


(2)
Diffraction record for La6Sm5Tl. The powder X-ray diffraction pattern is calculated, not measured: it uses a structure optimized by DFT (GGA-PBE) and λ = 1.5418 Å (Cu Kα).
Neutral-atom scattering factors, no anomalous dispersion.

Top 10 peaks for 2θ = 10–90°, low angle first:
- 2.980 Å, rel. 100
- 2.614 Å, rel. 17
- 2.565 Å, rel. 33
- 1.831 Å, rel. 24
- 1.814 Å, rel. 12
- 1.571 Å, rel. 15
- 1.550 Å, rel. 14
- 1.548 Å, rel. 14
- 1.490 Å, rel. 12
- 1.187 Å, rel. 12

Structure:
```
La6Sm5Tl
1.0
-2.567 5.125 7.843
2.567 -5.125 7.843
2.567 5.125 -7.843
La Sm Tl
6 5 1
direct
0.080 0.336 0.744
0.243 0.000 0.243
0.408 0.664 0.744
0.592 0.336 0.256
0.757 0.000 0.757
0.920 0.664 0.256
0.171 0.171 0.000
0.336 0.836 0.500
0.500 0.500 0.000
0.664 0.164 0.500
0.829 0.829 0.000
0.000 0.500 0.500
```


(3)
Diffraction record for La2SmTmTl2. The powder X-ray diffraction pattern is calculated, not measured: it uses a structure optimized by DFT (GGA-PBE) and λ = 1.5418 Å (Cu Kα).
Neutral-atom scattering factors, no anomalous dispersion.

Top 10 peaks for 2θ = 10–90°, low angle first:
- 3.079 Å, rel. 33
- 2.902 Å, rel. 92
- 2.849 Å, rel. 100
- 2.793 Å, rel. 95
- 2.641 Å, rel. 53
- 2.567 Å, rel. 77
- 2.454 Å, rel. 26
- 1.972 Å, rel. 26
- 1.641 Å, rel. 26
- 1.583 Å, rel. 25

Structure:
```
La2SmTmTl2
1.0
5.133 0.000 0.000
0.000 10.273 0.000
0.000 0.000 7.036
La Sm Tm Tl
4 2 2 4
direct
0.000 0.063 0.000
0.000 0.937 0.500
0.500 0.175 0.232
0.500 0.825 0.732
0.500 0.455 0.878
0.500 0.545 0.378
0.000 0.306 0.583
0.000 0.694 0.083
0.000 0.390 0.143
0.000 0.610 0.643
0.500 0.151 0.711
0.500 0.849 0.211
```